Calculated PXRD pattern
Compound: LiDy2Mn4O8
Radiation: copper Kα
Structure: DFT lattice parameters and positions (GGA+U)
No peak broadening, texture or thermal motion is included.

Peak list (10 most intense, 10° ≤ 2θ ≤ 80°, sorted by position)
2θ (°)  Rel. int.
16.39  21
26.63  100
28.04  26
29.10  22
29.67  26
29.93  57
32.89  62
33.57  63
53.25  23
54.94  23

Cell and atoms:
abc: 6.7615 6.7615 6.1382
angles: 116.82 116.82 56.15
Sites, in units of the cell vectors:
1 Li 0.0000 0.0000 0.0000
2 Dy 0.2542 0.2542 0.2728
3 Dy 0.4755 0.4755 0.9732
4 Mn 0.3271 0.8486 0.5869
5 Mn 0.8084 0.8084 0.0626
6 Mn 0.8264 0.8264 0.5662
7 Mn 0.8486 0.3271 0.5869
8 O 0.0660 0.6467 0.8321
9 O 0.0772 0.6555 0.3789
10 O 0.1022 0.1022 0.3570
11 O 0.1195 0.1195 0.8733
12 O 0.6035 0.6035 0.8309
13 O 0.6128 0.6128 0.3725
14 O 0.6467 0.0660 0.8321
15 O 0.6555 0.0772 0.3789